# 1
Computed powder XRD pattern
Compound: SiNi3
Radiation: CuKα
Structure: a DFT-relaxed cell (GGA-PBE, the Materials Project)
Intensities are scaled so that the largest is 100.

The 9 most intense peaks (2θ from 10° to 90°), sorted by position:
Position (°2θ)	d (Å)	I (rel.)
25.41	3.505	9
36.25	2.478	8
44.79	2.023	100
52.20	1.752	46
58.93	1.567	3
65.21	1.431	2
76.95	1.239	27
82.59	1.168	1
88.15	1.108	1

Structure:
a b c (Å): 3.505 3.505 3.505
angles (deg): 90.00 90.00 90.00
Fractional positions:
Si  0.000  0.000  0.000
Ni  0.000  0.500  0.500
Ni  0.500  0.000  0.500
Ni  0.500  0.500  0.000

***

# 2
Computed powder XRD pattern
Compound: SiNi2
Radiation: CuKα
Structure: a DFT-relaxed cell (GGA-PBE, the Materials Project)
Intensities are scaled so that the largest is 100.

The 10 most intense peaks (2θ from 10° to 90°), sorted by position:
Position (°2θ)	d (Å)	I (rel.)
26.36	3.381	6
32.00	2.797	22
45.24	2.004	100
46.52	1.952	92
57.58	1.601	4
62.35	1.489	3
66.91	1.398	29
76.57	1.244	6
85.40	1.137	28
86.31	1.127	14

Structure:
a b c (Å): 3.904 3.904 4.977
angles (deg): 90.00 90.00 120.00
Fractional positions:
Si  0.333  0.667  0.250
Si  0.667  0.333  0.750
Ni  0.000  0.000  0.000
Ni  0.000  0.000  0.500
Ni  0.333  0.667  0.750
Ni  0.667  0.333  0.250

***

# 3
Computed powder XRD pattern
Compound: SmSi2Ni2
Radiation: CuKα
Structure: a DFT-relaxed cell (GGA-PBE, the Materials Project)
Intensities are scaled so that the largest is 100.

The 10 most intense peaks (2θ from 10° to 90°), sorted by position:
Position (°2θ)	d (Å)	I (rel.)
24.02	3.705	46
35.94	2.499	51
36.78	2.443	100
37.59	2.393	15
45.12	2.009	41
52.99	1.728	15
58.99	1.566	24
60.13	1.539	15
67.31	1.391	17
77.75	1.228	21

Structure:
a b c (Å): 5.566 5.566 5.566
angles (deg): 137.67 137.67 61.40
Fractional positions:
Sm  0.000  0.000  0.000
Si  0.371  0.371  0.000
Si  0.629  0.629  0.000
Ni  0.250  0.750  0.500
Ni  0.750  0.250  0.500

***

# 4
Computed powder XRD pattern
Compound: Sm2Si3Ni
Radiation: CuKα
Structure: a DFT-relaxed cell (GGA-PBE, the Materials Project)
Intensities are scaled so that the largest is 100.

The 10 most intense peaks (2θ from 10° to 90°), sorted by position:
Position (°2θ)	d (Å)	I (rel.)
21.59	4.116	7
25.33	3.516	37
33.52	2.673	100
44.00	2.058	11
44.64	2.030	32
51.45	1.776	10
56.96	1.617	22
64.48	1.445	20
74.19	1.278	10
75.12	1.265	19

Structure:
a b c (Å): 4.060 4.060 8.231
angles (deg): 90.00 90.00 120.00
Fractional positions:
Sm  0.000  0.000  0.239
Sm  0.000  0.000  0.761
Si  0.333  0.667  0.500
Si  0.667  0.333  0.000
Si  0.667  0.333  0.500
Ni  0.333  0.667  0.000

***

# 5
Computed powder XRD pattern
Compound: Sm3Si3Ni
Radiation: CuKα
Structure: a DFT-relaxed cell (GGA-PBE, the Materials Project)
Intensities are scaled so that the largest is 100.

The 10 most intense peaks (2θ from 10° to 90°), sorted by position:
Position (°2θ)	d (Å)	I (rel.)
26.95	3.309	56
30.09	2.970	20
32.42	2.762	100
32.81	2.730	60
36.94	2.433	21
42.12	2.145	17
42.59	2.123	23
45.54	1.992	19
51.13	1.787	20
57.26	1.609	24

Structure:
a b c (Å): 9.374 9.374 9.374
angles (deg): 155.47 153.82 36.18
Fractional positions:
Sm  0.000  0.000  0.000
Sm  0.181  0.681  0.500
Sm  0.366  0.366  0.000
Si  0.546  0.546  0.000
Si  0.741  0.241  0.500
Si  0.823  0.823  0.000
Ni  0.615  0.115  0.500

***

# 6
Computed powder XRD pattern
Compound: Sm6Si3Ni2
Radiation: CuKα
Structure: a DFT-relaxed cell (GGA-PBE, the Materials Project)
Intensities are scaled so that the largest is 100.

The 10 most intense peaks (2θ from 10° to 90°), sorted by position:
Position (°2θ)	d (Å)	I (rel.)
21.87	4.064	24
30.66	2.916	62
31.06	2.880	100
31.56	2.835	27
32.08	2.790	24
32.40	2.763	23
33.28	2.692	31
33.76	2.655	16
40.62	2.221	39
52.89	1.731	15

Structure:
a b c (Å): 11.532 4.441 11.585
angles (deg): 90.00 118.53 90.00
Fractional positions:
Sm  0.000  0.000  0.000
Sm  0.012  0.500  0.241
Sm  0.146  0.000  0.536
Sm  0.252  0.000  0.885
Sm  0.288  0.500  0.160
Sm  0.389  0.500  0.511
Sm  0.522  0.000  0.798
Sm  0.554  0.500  0.042
Sm  0.633  0.500  0.400
Sm  0.752  0.500  0.782
Sm  0.792  0.000  0.265
Sm  0.905  0.000  0.641
Si  0.108  0.500  0.696
Si  0.209  0.000  0.308
Si  0.437  0.000  0.358
Si  0.494  0.000  0.182
Si  0.614  0.000  0.583
Si  0.928  0.500  0.462
Ni  0.056  0.500  0.873
Ni  0.339  0.500  0.761
Ni  0.772  0.248  0.020
Ni  0.772  0.752  0.020

***

# 7
Computed powder XRD pattern
Compound: Sr2Si3Ni
Radiation: CuKα
Structure: a DFT-relaxed cell (GGA-PBE, the Materials Project)
Intensities are scaled so that the largest is 100.

The 10 most intense peaks (2θ from 10° to 90°), sorted by position:
Position (°2θ)	d (Å)	I (rel.)
25.19	3.536	15
31.76	2.818	100
38.59	2.333	19
44.38	2.041	32
55.59	1.653	19
60.24	1.536	25
65.58	1.423	11
73.75	1.285	17
81.71	1.179	5
82.64	1.168	6

Structure:
a b c (Å): 4.083 4.083 9.330
angles (deg): 90.00 90.00 120.00
Fractional positions:
Sr  0.000  0.000  0.239
Sr  0.000  0.000  0.761
Si  0.333  0.667  0.500
Si  0.667  0.333  0.000
Si  0.667  0.333  0.500
Ni  0.333  0.667  0.000

***

# 8
Computed powder XRD pattern
Compound: SrSiNi
Radiation: CuKα
Structure: a DFT-relaxed cell (GGA-PBE, the Materials Project)
Intensities are scaled so that the largest is 100.

The 10 most intense peaks (2θ from 10° to 90°), sorted by position:
Position (°2θ)	d (Å)	I (rel.)
25.82	3.451	12
32.04	2.793	100
37.83	2.378	18
45.52	1.993	31
56.75	1.622	19
60.63	1.527	26
64.71	1.441	12
75.59	1.258	16
82.65	1.167	6
84.16	1.150	5

Structure:
a b c (Å): 3.985 3.985 4.756
angles (deg): 90.00 90.00 120.00
Fractional positions:
Sr  0.000  0.000  0.000
Si  0.333  0.667  0.500
Ni  0.667  0.333  0.500

***

# 9
Computed powder XRD pattern
Compound: TaSiNi
Radiation: CuKα
Structure: a DFT-relaxed cell (GGA-PBE, the Materials Project)
Intensities are scaled so that the largest is 100.

The 10 most intense peaks (2θ from 10° to 90°), sorted by position:
Position (°2θ)	d (Å)	I (rel.)
27.29	3.267	48
28.74	3.107	25
38.12	2.361	100
38.56	2.335	22
40.05	2.251	93
40.91	2.206	44
45.64	1.988	32
49.49	1.842	28
66.09	1.414	22
75.18	1.264	21

Structure:
a b c (Å): 6.214 3.683 7.080
angles (deg): 90.00 90.00 90.00
Fractional positions:
Ta  0.020  0.250  0.175
Ta  0.480  0.750  0.675
Ta  0.520  0.250  0.325
Ta  0.980  0.750  0.825
Si  0.220  0.750  0.381
Si  0.280  0.250  0.881
Si  0.720  0.750  0.119
Si  0.780  0.250  0.619
Ni  0.154  0.250  0.567
Ni  0.346  0.750  0.067
Ni  0.654  0.250  0.933
Ni  0.846  0.750  0.433

***

# 10
Computed powder XRD pattern
Compound: Ta3SiNi8
Radiation: CuKα
Structure: a DFT-relaxed cell (GGA-PBE, the Materials Project)
Intensities are scaled so that the largest is 100.

The 10 most intense peaks (2θ from 10° to 90°), sorted by position:
Position (°2θ)	d (Å)	I (rel.)
24.48	3.636	26
31.83	2.811	33
37.74	2.384	62
41.52	2.175	96
44.76	2.025	100
45.50	1.993	69
70.71	1.332	37
73.04	1.295	23
77.48	1.232	25
80.61	1.192	24

Structure:
a b c (Å): 4.767 4.767 7.677
angles (deg): 90.00 90.00 120.00
Fractional positions:
Ta  0.000  0.000  0.000
Ta  0.000  0.000  0.383
Ta  0.333  0.667  0.850
Si  0.333  0.667  0.472
Ni  0.008  0.504  0.187
Ni  0.328  0.164  0.689
Ni  0.496  0.504  0.187
Ni  0.496  0.992  0.187
Ni  0.667  0.333  0.439
Ni  0.667  0.333  0.941
Ni  0.836  0.164  0.689
Ni  0.836  0.672  0.689

***

# 11
Computed powder XRD pattern
Compound: Ta2SiNi3
Radiation: CuKα
Structure: a DFT-relaxed cell (GGA-PBE, the Materials Project)
Intensities are scaled so that the largest is 100.

The 10 most intense peaks (2θ from 10° to 90°), sorted by position:
Position (°2θ)	d (Å)	I (rel.)
21.14	4.203	35
31.58	2.833	34
37.05	2.426	63
41.34	2.184	100
43.04	2.101	25
44.17	2.050	98
44.71	2.027	56
69.69	1.349	41
71.73	1.316	23
76.96	1.239	31

Structure:
a b c (Å): 4.853 4.853 7.669
angles (deg): 90.00 90.00 120.00
Fractional positions:
Ta  0.333  0.667  0.058
Ta  0.333  0.667  0.442
Ta  0.667  0.333  0.558
Ta  0.667  0.333  0.942
Si  0.000  0.000  0.000
Si  0.000  0.000  0.500
Ni  0.168  0.337  0.750
Ni  0.168  0.832  0.750
Ni  0.337  0.168  0.250
Ni  0.663  0.832  0.750
Ni  0.832  0.168  0.250
Ni  0.832  0.663  0.250

***

# 12
Computed powder XRD pattern
Compound: Ta6Si7Ni16
Radiation: CuKα
Structure: a DFT-relaxed cell (GGA-PBE, the Materials Project)
Intensities are scaled so that the largest is 100.

The 10 most intense peaks (2θ from 10° to 90°), sorted by position:
Position (°2θ)	d (Å)	I (rel.)
27.51	3.243	45
34.81	2.577	16
39.29	2.293	29
41.79	2.162	100
45.69	1.986	63
48.64	1.872	16
63.63	1.462	19
71.23	1.324	23
72.94	1.297	13
86.14	1.129	15

Structure:
a b c (Å): 7.943 7.943 7.943
angles (deg): 60.00 60.00 60.00
Fractional positions:
Ta  0.203  0.203  0.797
Ta  0.203  0.797  0.203
Ta  0.203  0.797  0.797
Ta  0.797  0.203  0.203
Ta  0.797  0.203  0.797
Ta  0.797  0.797  0.203
Si  0.000  0.000  0.500
Si  0.000  0.500  0.000
Si  0.000  0.500  0.500
Si  0.500  0.000  0.000
Si  0.500  0.000  0.500
Si  0.500  0.500  0.000
Si  0.500  0.500  0.500
Ni  0.150  0.617  0.617
Ni  0.167  0.167  0.167
Ni  0.167  0.167  0.498
Ni  0.167  0.498  0.167
Ni  0.383  0.383  0.383
Ni  0.383  0.383  0.850
Ni  0.383  0.850  0.383
Ni  0.498  0.167  0.167
Ni  0.502  0.833  0.833
Ni  0.617  0.150  0.617
Ni  0.617  0.617  0.150
Ni  0.617  0.617  0.617
Ni  0.833  0.502  0.833
Ni  0.833  0.833  0.502
Ni  0.833  0.833  0.833
Ni  0.850  0.383  0.383